[1]
Diffraction record for BaGeO3. The powder X-ray diffraction pattern is theoretical, not measured: it uses a cell relaxed with PBE and λ = 1.5418 Å (Cu Kα).
Peak positions follow from Bragg's law for the DFT cell and can differ from measured ones.

Principal peaks in the range 10° ≤ 2θ ≤ 90°, by angle:
2theta  Rel. int.
23.0  42
26.6  40
27.8  51
29.6  42
29.9  100
30.2  45

Cell and atoms:
```
BaGeO3
1.0
7.771 0.000 0.000
1.866 8.992 0.000
2.950 3.626 8.129
Ba Ge O
6 6 18
Direct
0.000 0.000 0.000
0.038 0.241 0.289
0.220 0.450 0.677
0.529 0.882 0.312
0.650 0.091 0.718
0.793 0.676 0.920
0.185 0.588 0.298
0.264 0.653 0.928
0.317 0.009 0.625
0.580 0.361 0.946
0.793 0.517 0.481
0.944 0.823 0.470
0.119 0.508 0.971
0.177 0.752 0.379
0.177 0.837 0.790
0.271 0.152 0.715
0.273 0.073 0.433
0.283 0.718 0.077
0.405 0.218 0.100
0.438 0.248 0.912
0.500 0.568 0.876
0.536 0.917 0.616
0.560 0.547 0.498
0.718 0.916 0.000
0.799 0.324 0.954
0.859 0.616 0.586
0.871 0.977 0.300
0.880 0.313 0.544
0.922 0.885 0.624
0.938 0.620 0.273
```

=====

[2]
Diffraction record for BaGe3O8. The powder X-ray diffraction pattern is theoretical, not measured: it uses a cell relaxed with PBE and λ = 1.5418 Å (Cu Kα).
Peak positions follow from Bragg's law for the DFT cell and can differ from measured ones.

Principal peaks in the range 10° ≤ 2θ ≤ 90°, by angle:
2theta  Rel. int.
13.9  42
26.7  94
27.4  80
33.6  100
51.8  53
55.7  42

Cell and atoms:
```
BaGe3O8
1.0
6.615 -2.491 0.000
6.615 2.491 0.000
-2.441 0.000 9.143
Ba Ge O
2 6 16
Direct
0.144 0.856 0.750
0.856 0.144 0.250
0.000 0.500 0.000
0.041 0.572 0.378
0.428 0.959 0.122
0.500 0.000 0.500
0.572 0.041 0.878
0.959 0.428 0.622
0.057 0.204 0.027
0.165 0.296 0.811
0.204 0.057 0.527
0.238 0.401 0.573
0.292 0.572 0.353
0.296 0.165 0.311
0.401 0.238 0.073
0.428 0.708 0.147
0.572 0.292 0.853
0.599 0.762 0.927
0.704 0.835 0.689
0.708 0.428 0.647
0.762 0.599 0.427
0.796 0.943 0.473
0.835 0.704 0.189
0.943 0.796 0.973
```

=====

[3]
Diffraction record for BaGeO3. The powder X-ray diffraction pattern is theoretical, not measured: it uses a cell relaxed with PBE and λ = 1.5418 Å (Cu Kα).
Peak positions follow from Bragg's law for the DFT cell and can differ from measured ones.

Principal peaks in the range 10° ≤ 2θ ≤ 90°, by angle:
2theta  Rel. int.
31.8  100
39.2  11
45.6  32
56.6  39
66.4  20
75.5  17

Cell and atoms:
```
BaGeO3
1.0
3.980 0.000 0.000
0.000 3.980 0.000
0.000 0.000 3.980
Ba Ge O
1 1 3
Direct
0.000 0.000 0.000
0.500 0.500 0.500
0.000 0.500 0.500
0.500 0.000 0.500
0.500 0.500 0.000
```